Diffraction record for Tb2NdIn3Co3. The powder X-ray diffraction pattern is theoretical, not measured: it uses a DFT-relaxed cell (PBE, OQMD) and Cu Kα (λ = 1.5418 Å).
No peak broadening, texture or thermal motion is included.

Peak list (8 most intense, 10° ≤ 2θ ≤ 90°, most intense first)
- 33.40°, I 100, (1 3 1)
- 36.29°, I 72, (1 2 2)
- 37.03°, I 36, (0 1 3)
- 61.06°, I 24, (2 5 1)
- 46.70°, I 21, (2 0 0)
- 37.12°, I 18, (0 5 1)
- 68.15°, I 16, (1 7 3)
- 56.84°, I 16, (1 2 4)

a = 3.8902 Å, b = 12.8104 Å, c = 7.4258 Å
α = 90.00°, β = 90.00°, γ = 90.00°
Space group Amm2 (No. 38)
Unique sites:
Tb 0.0000 0.2046 0.0000 (multiplicity 4)
Nd 0.0000 0.0000 0.3828 (multiplicity 2)
In 0.5000 0.0000 0.0429 (multiplicity 2)
In 0.5000 0.1275 0.6716 (multiplicity 4)
Co 0.0000 0.0000 0.7962 (multiplicity 2)
Co 0.5000 0.1684 0.2944 (multiplicity 4)

***

Diffraction record for ZnH2. The powder X-ray diffraction pattern is theoretical, not measured: it uses a DFT-relaxed cell (PBE, OQMD) and Cu Kα (λ = 1.5418 Å).
No peak broadening, texture or thermal motion is included.

Peak list (8 most intense, 10° ≤ 2θ ≤ 90°, most intense first)
- 23.93°, I 100, (1 0 1)
- 38.80°, I 55, (1 1 2)
- 48.09°, I 29, (2 1 1)
- 41.07°, I 22, (2 0 0)
- 44.04°, I 19, (1 0 3)
- 73.31°, I 15, (3 1 2)
- 61.79°, I 13, (2 1 3)
- 68.69°, I 10, (2 0 4)

a = 4.3954 Å, b = 4.3960 Å, c = 6.9788 Å
α = 90.00°, β = 90.00°, γ = 90.00°
Space group P2_12_12_1 (No. 19)
Unique sites:
Zn 0.0000 0.2474 0.1250 (multiplicity 4)
H 0.2064 0.4928 0.2536 (multiplicity 4)
H 0.2493 0.0436 0.9978 (multiplicity 4)